For Ba2TlFeO5, a cell relaxed with PBE+U gives the theoretical X-ray diffraction stick pattern in this record (copper Kα).

Atomic structure:
```
18
Lattice="1.7888 -7.8309 0.0000 1.7888 7.8309 0.0000 0.0000 0.0000 10.9998" Properties=species:S:1:pos:R:3 pbc="T T T"
Ba 1.7888 6.0830 5.4999
Ba 1.7888 5.8304 1.4706
Ba 1.7888 -5.8304 6.9704
Ba 1.7888 -6.0830 0.0000
Tl 1.7888 4.4801 9.2665
Tl 1.7888 -4.4801 3.7666
Fe 1.7888 0.8277 2.9183
Fe 1.7888 -0.8277 8.4182
O 1.7888 7.1856 9.2108
O 1.7888 3.2588 5.2431
O 1.7888 2.6955 2.2922
O 1.7888 2.2942 9.0221
O 1.7888 0.0221 1.2442
O 1.7888 -0.0221 6.7441
O 1.7888 -2.2942 3.5222
O 1.7888 -2.6955 7.7921
O 1.7888 -3.2588 10.7430
O 1.7888 -7.1856 3.7109
```

Peak list (10 most intense, 2θ = 15–90°, sorted by position)
Position (°2θ)	d/Å	I_rel
19.7	4.501	37.5
26.8	3.321	86.3
28.0	3.190	46.8
30.3	2.949	57.3
31.4	2.850	60.6
35.3	2.540	49.2
35.5	2.527	100.0
41.7	2.166	48.5
51.1	1.789	33.6
54.5	1.683	21.4